No. 1
Structure and theoretical powder diffraction line list of Gd3Si2S8Br (DFT lattice parameters and positions (PBE); copper Kα).

Cell and atoms:
Cell lengths 8.7696, 8.7696, 10.8322 Å; angles 99.43, 99.43, 51.07 degrees
Fractional positions:
1 Gd 0.1344 0.8656 0.7500
2 Gd 0.1709 0.4234 0.3202
3 Gd 0.4234 0.1709 0.8202
4 Gd 0.5766 0.8291 0.1798
5 Gd 0.8291 0.5766 0.6798
6 Gd 0.8656 0.1344 0.2500
7 Si 0.1190 0.1948 0.0224
8 Si 0.1948 0.1190 0.5224
9 Si 0.8052 0.8810 0.4776
10 Si 0.8810 0.8052 0.9776
11 S 0.0471 0.2404 0.8279
12 S 0.1014 0.7623 0.4695
13 S 0.1140 0.6013 0.8593
14 S 0.2184 0.3471 0.5882
15 S 0.2377 0.8986 0.0305
16 S 0.2404 0.0471 0.3279
17 S 0.3471 0.2184 0.0882
18 S 0.3987 0.8860 0.6407
19 S 0.6013 0.1140 0.3593
20 S 0.6529 0.7816 0.9118
21 S 0.7596 0.9529 0.6721
22 S 0.7623 0.1014 0.9695
23 S 0.7816 0.6529 0.4118
24 S 0.8860 0.3987 0.1407
25 S 0.8986 0.2377 0.5305
26 S 0.9529 0.7596 0.1721
27 Br 0.4884 0.5116 0.2500
28 Br 0.5116 0.4884 0.7500

Most intense lines, 2θ from 10° to 90°, by angle:
2theta, I_rel
14.9, 40
16.6, 95
23.5, 65
25.0, 82
25.8, 65
33.0, 100
34.6, 45
35.2, 98
37.3, 50
39.2, 50
39.8, 35
41.4, 50


No. 2
Structure and theoretical powder diffraction line list of LiMgCdPb (DFT lattice parameters and positions (PBE); copper Kα).

Cell and atoms:
Cell lengths 5.3304, 5.3304, 5.3304 Å; angles 128.49, 128.49, 75.84 degrees
Fractional positions:
1 Li 0.0000 0.0000 0.0000
2 Mg 0.5000 0.5000 0.0000
3 Cd 0.2500 0.7500 0.5000
4 Pb 0.7500 0.2500 0.5000

Most intense lines, 2θ from 10° to 90°, by angle:
2theta, I_rel
21.1, 58
21.9, 20
27.2, 63
34.7, 100
38.9, 37
43.0, 14
44.7, 34
51.7, 22
59.4, 21
60.7, 14
67.7, 28
79.8, 13


No. 3
Structure and theoretical powder diffraction line list of Ba5Tl2Br2 (DFT lattice parameters and positions (PBE); copper Kα).

Cell and atoms:
Cell lengths 9.8415, 9.8415, 9.5066 Å; angles 90.00, 90.00, 57.32 degrees
Fractional positions:
1 Ba 0.0000 0.0000 0.0000
2 Ba 0.0313 0.7036 0.6562
3 Ba 0.2036 0.5313 0.1562
4 Ba 0.2964 0.9687 0.6562
5 Ba 0.4687 0.7964 0.1562
6 Ba 0.5000 0.5000 0.5000
7 Ba 0.5313 0.2036 0.8438
8 Ba 0.7036 0.0313 0.3438
9 Ba 0.7964 0.4687 0.8438
10 Ba 0.9687 0.2964 0.3438
11 Tl 0.1301 0.8699 0.3696
12 Tl 0.3699 0.6301 0.8696
13 Tl 0.6301 0.3699 0.1304
14 Tl 0.8699 0.1301 0.6304
15 Br 0.2014 0.2014 0.0000
16 Br 0.2986 0.2986 0.5000
17 Br 0.7014 0.7014 0.5000
18 Br 0.7986 0.7986 0.0000

Most intense lines, 2θ from 10° to 90°, by angle:
2theta, I_rel
10.2, 61
23.4, 36
26.1, 100
26.6, 19
28.0, 32
29.6, 84
30.2, 58
30.4, 60
31.1, 21
33.4, 35
55.5, 16
56.4, 26


No. 4
Structure and theoretical powder diffraction line list of Na6Cd23Sn (DFT lattice parameters and positions (PBE); copper Kα).

Cell and atoms:
Cell lengths 10.0306, 10.0306, 10.0306 Å; angles 60.00, 60.00, 60.00 degrees
Fractional positions:
1 Na 0.2382 0.2382 0.7618
2 Na 0.2382 0.7618 0.2382
3 Na 0.2382 0.7618 0.7618
4 Na 0.7618 0.2382 0.2382
5 Na 0.7618 0.2382 0.7618
6 Na 0.7618 0.7618 0.2382
7 Cd 0.0000 0.0000 0.5000
8 Cd 0.0000 0.5000 0.0000
9 Cd 0.0000 0.5000 0.5000
10 Cd 0.1160 0.6280 0.6280
11 Cd 0.1418 0.1418 0.1418
12 Cd 0.1418 0.1418 0.5746
13 Cd 0.1418 0.5746 0.1418
14 Cd 0.3720 0.3720 0.3720
15 Cd 0.3720 0.3720 0.8840
16 Cd 0.3720 0.8840 0.3720
17 Cd 0.4254 0.8582 0.8582
18 Cd 0.5000 0.0000 0.0000
19 Cd 0.5000 0.0000 0.5000
20 Cd 0.5000 0.5000 0.0000
21 Cd 0.5000 0.5000 0.5000
22 Cd 0.5746 0.1418 0.1418
23 Cd 0.6280 0.1160 0.6280
24 Cd 0.6280 0.6280 0.1160
25 Cd 0.6280 0.6280 0.6280
26 Cd 0.8582 0.4254 0.8582
27 Cd 0.8582 0.8582 0.4254
28 Cd 0.8582 0.8582 0.8582
29 Cd 0.8840 0.3720 0.3720
30 Sn 0.0000 0.0000 0.0000

Most intense lines, 2θ from 10° to 90°, by angle:
2theta, I_rel
21.7, 19
25.1, 8
35.8, 100
42.3, 11
46.1, 4
51.5, 15
56.6, 4
64.3, 27
71.7, 4
75.9, 8
80.0, 4
86.9, 9


No. 5
Structure and theoretical powder diffraction line list of SiP4PdPbO14 (DFT lattice parameters and positions (PBE); copper Kα).

Cell and atoms:
Cell lengths 4.6974, 17.5315, 6.5459 Å; angles 90.00, 102.67, 90.00 degrees
Fractional positions:
1 Si 0.0000 0.0000 0.0000
2 Si 0.0000 0.5000 0.0000
3 P 0.1231 0.1238 0.3522
4 P 0.1231 0.3762 0.3522
5 P 0.4311 0.0862 0.7800
6 P 0.4311 0.4138 0.7800
7 P 0.5689 0.5862 0.2200
8 P 0.5689 0.9138 0.2200
9 P 0.8769 0.6238 0.6478
10 P 0.8769 0.8762 0.6478
11 Pd 0.3745 0.7500 0.6435
12 Pd 0.6255 0.2500 0.3565
13 Pb 0.1250 0.2500 0.8635
14 Pb 0.8750 0.7500 0.1365
15 O 0.0569 0.5686 0.8060
16 O 0.0569 0.9314 0.8060
17 O 0.0661 0.6701 0.5275
18 O 0.0661 0.8299 0.5275
19 O 0.1601 0.0722 0.8716
20 O 0.1601 0.4278 0.8716
21 O 0.3149 0.1719 0.2377
22 O 0.3149 0.3281 0.2377
23 O 0.3278 0.0731 0.5292
24 O 0.3278 0.4269 0.5292
25 O 0.3423 0.5235 0.1583
26 O 0.3423 0.9765 0.1583
27 O 0.4699 0.6682 0.1803
28 O 0.4699 0.8318 0.1803
29 O 0.5301 0.1682 0.8197
30 O 0.5301 0.3318 0.8197
31 O 0.6577 0.0235 0.8417
32 O 0.6577 0.4765 0.8417
33 O 0.6722 0.5731 0.4708
34 O 0.6722 0.9269 0.4708
35 O 0.6851 0.6719 0.7623
36 O 0.6851 0.8281 0.7623
37 O 0.8399 0.5722 0.1284
38 O 0.8399 0.9278 0.1284
39 O 0.9339 0.1701 0.4725
40 O 0.9339 0.3299 0.4725
41 O 0.9431 0.0686 0.1940
42 O 0.9431 0.4314 0.1940

Most intense lines, 2θ from 10° to 90°, by angle:
2theta, I_rel
10.1, 80
20.0, 18
20.3, 17
21.8, 34
26.2, 100
28.2, 20
28.4, 61
30.6, 16
33.4, 59
40.8, 30
42.4, 16
44.0, 17


No. 6
Structure and theoretical powder diffraction line list of LiPm4Ga (DFT lattice parameters and positions (PBE); copper Kα).

Cell and atoms:
Cell lengths 16.9710, 16.9710, 5.8094 Å; angles 90.00, 90.00, 167.86 degrees
Fractional positions:
1 Li 0.9999 0.0001 0.0000
2 Li 0.0001 0.9999 0.5000
3 Pm 0.0932 0.9068 0.7243
4 Pm 0.1674 0.8326 0.1128
5 Pm 0.2360 0.7640 0.6830
6 Pm 0.4224 0.5776 0.7493
7 Pm 0.5776 0.4224 0.2493
8 Pm 0.7640 0.2360 0.1830
9 Pm 0.8326 0.1674 0.6128
10 Pm 0.9068 0.0932 0.2243
11 Ga 0.3375 0.6625 0.0676
12 Ga 0.6625 0.3375 0.5676

Most intense lines, 2θ from 10° to 90°, by angle:
2theta, I_rel
10.5, 24
15.8, 20
26.1, 24
29.4, 20
30.3, 13
30.6, 18
30.8, 27
31.8, 32
32.2, 76
34.8, 100
53.9, 16
57.8, 13


No. 7
Structure and theoretical powder diffraction line list of BaH8Ir2 (DFT lattice parameters and positions (PBE); copper Kα).

Cell and atoms:
Cell lengths 5.2993, 4.8481, 4.8481 Å; angles 102.55, 90.00, 90.00 degrees
Fractional positions:
1 Ba 0.0000 0.0000 0.0000
2 H 0.2805 0.6237 0.6237
3 H 0.3080 0.1112 0.4407
4 H 0.3080 0.4407 0.1112
5 H 0.5000 0.1206 0.8218
6 H 0.5000 0.8218 0.1206
7 H 0.6920 0.1112 0.4407
8 H 0.6920 0.4407 0.1112
9 H 0.7195 0.6237 0.6237
10 Ir 0.5000 0.5182 0.8808
11 Ir 0.5000 0.8808 0.5182

Most intense lines, 2θ from 10° to 90°, by angle:
2theta, I_rel
16.7, 75
18.8, 53
25.2, 99
29.0, 91
33.8, 54
34.1, 100
38.0, 40
38.7, 51
42.4, 55
51.8, 37
52.3, 46
61.3, 36